1.
Computed X-ray diffraction stick pattern of BaYMg6 for λ = 1.5418 Å (Cu Kα), from a cell relaxed with PBE.
No peak broadening, texture or thermal motion is included.

Structural model:
Cell: 5.4255 7.3325 11.5921 Å, 90.00 90.00 90.00°
Space group Amm2 (No. 38)
Symmetry-distinct sites (fractional):
Ba  0.0000  0.0000  0.0000 (multiplicity 2)
Y  0.0000  0.0000  0.5014 (multiplicity 2)
Mg  0.0000  0.2503  0.2440 (multiplicity 4)
Mg  0.5000  0.0000  0.3182 (multiplicity 2)
Mg  0.5000  0.0000  0.8055 (multiplicity 2)
Mg  0.5000  0.2307  0.5790 (multiplicity 4)

Largest 8 diffraction maxima, in order of falling intensity, 10 to 80 degrees two-theta:
| 2θ (°) | I (rel.) | (hkl) |
| --- | --- | --- |
| 33.30 | 100.0 | 1 2 2 |
| 22.45 | 36.7 | 1 0 2 |
| 15.29 | 36.3 | 0 0 2 |
| 35.11 | 34.8 | 1 0 4 |
| 16.34 | 34.6 | 1 0 0 |
| 28.81 | 30.9 | 0 2 2 |
| 33.02 | 30.4 | 2 0 0 |
| 30.86 | 20.2 | 0 0 4 |

2.
Computed X-ray diffraction stick pattern of NaTbSe2 for λ = 1.5418 Å (Cu Kα), from a cell relaxed with PBE.
No peak broadening, texture or thermal motion is included.

Structural model:
Cell: 4.1708 4.1708 20.9856 Å, 90.00 90.00 120.00°
Space group R-3m (No. 166, hexagonal axes)
Symmetry-distinct sites (fractional):
Na  0.0000  0.0000  0.0000 (multiplicity 3)
Tb  0.0000  0.0000  0.5000 (multiplicity 3)
Se  0.0000  0.0000  0.2432 (multiplicity 6)

Largest 8 diffraction maxima, in order of falling intensity, 10 to 80 degrees two-theta:
| 2θ (°) | I (rel.) | (hkl) |
| --- | --- | --- |
| 30.04 | 100.0 | 1 0 4 |
| 12.65 | 51.1 | 0 0 3 |
| 43.39 | 36.7 | 1 1 0 |
| 42.59 | 36.6 | 0 1 8 |
| 25.02 | 21.6 | 1 0 1 |
| 53.67 | 19.2 | 0 2 4 |
| 71.39 | 16.2 | 2 1 4 |
| 70.24 | 15.2 | 1 1 12 |

3.
Computed X-ray diffraction stick pattern of KHgC2N2ClO for λ = 1.5418 Å (Cu Kα), from a cell relaxed with PBE.
No peak broadening, texture or thermal motion is included.

Structural model:
Cell: 8.9889 4.4266 18.2126 Å, 90.00 90.00 90.00°
Space group Pnma (No. 62)
Symmetry-distinct sites (fractional):
K  0.2368  0.2500  0.0144 (multiplicity 4)
Hg  0.0163  0.2500  0.7489 (multiplicity 4)
C  0.0172  0.7500  0.1399 (multiplicity 4)
C  0.0518  0.2500  0.6381 (multiplicity 4)
N  0.0383  0.7500  0.0767 (multiplicity 4)
N  0.0767  0.2500  0.5752 (multiplicity 4)
Cl  0.2344  0.2500  0.2787 (multiplicity 4)
O  0.2351  0.2500  0.4125 (multiplicity 4)

Largest 8 diffraction maxima, in order of falling intensity, 10 to 80 degrees two-theta:
| 2θ (°) | I (rel.) | (hkl) |
| --- | --- | --- |
| 28.73 | 100.0 | 2 1 1 |
| 22.06 | 52.5 | 2 0 2 |
| 20.65 | 50.1 | 0 1 1 |
| 19.50 | 43.3 | 0 0 4 |
| 37.73 | 37.7 | 2 1 5 |
| 31.98 | 29.7 | 2 1 3 |
| 24.89 | 23.2 | 0 1 3 |
| 45.56 | 19.6 | 0 2 4 |

4.
Computed X-ray diffraction stick pattern of Zr3Ti2Si3 for λ = 1.5418 Å (Cu Kα), from a cell relaxed with PBE.
No peak broadening, texture or thermal motion is included.

Structural model:
Cell: 7.8153 7.8153 5.3303 Å, 90.00 90.00 120.00°
Space group P6_3/mcm (No. 193)
Symmetry-distinct sites (fractional):
Zr  0.0000  0.2510  0.2500 (multiplicity 6)
Ti  0.3333  0.6667  0.0000 (multiplicity 4)
Si  0.0000  0.3986  0.7500 (multiplicity 6)

Largest 8 diffraction maxima, in order of falling intensity, 10 to 80 degrees two-theta:
| 2θ (°) | I (rel.) | (hkl) |
| --- | --- | --- |
| 39.06 | 100.0 | 2 1 1 |
| 40.99 | 44.7 | 1 1 2 |
| 28.32 | 38.2 | 1 1 1 |
| 35.08 | 28.7 | 2 1 0 |
| 39.96 | 26.8 | 3 0 0 |
| 63.78 | 22.6 | 2 1 3 |
| 65.32 | 19.8 | 4 0 2 |
| 33.63 | 18.8 | 0 0 2 |

Copy entry 1 word for word.
Computed X-ray diffraction stick pattern of BaYMg6 for λ = 1.5418 Å (Cu Kα), from a cell relaxed with PBE.
No peak broadening, texture or thermal motion is included.

Structural model:
Cell: 5.4255 7.3325 11.5921 Å, 90.00 90.00 90.00°
Space group Amm2 (No. 38)
Symmetry-distinct sites (fractional):
Ba  0.0000  0.0000  0.0000 (multiplicity 2)
Y  0.0000  0.0000  0.5014 (multiplicity 2)
Mg  0.0000  0.2503  0.2440 (multiplicity 4)
Mg  0.5000  0.0000  0.3182 (multiplicity 2)
Mg  0.5000  0.0000  0.8055 (multiplicity 2)
Mg  0.5000  0.2307  0.5790 (multiplicity 4)

Largest 8 diffraction maxima, in order of falling intensity, 10 to 80 degrees two-theta:
| 2θ (°) | I (rel.) | (hkl) |
| --- | --- | --- |
| 33.30 | 100.0 | 1 2 2 |
| 22.45 | 36.7 | 1 0 2 |
| 15.29 | 36.3 | 0 0 2 |
| 35.11 | 34.8 | 1 0 4 |
| 16.34 | 34.6 | 1 0 0 |
| 28.81 | 30.9 | 0 2 2 |
| 33.02 | 30.4 | 2 0 0 |
| 30.86 | 20.2 | 0 0 4 |